# K2Li
Simulated X-ray powder pattern, λ = 1.5418 Å (Cu Kα). Input: the GGA-PBE geometry in Alexandria.

Crystal structure
Lattice parameters (Å, degrees): 14.2012 4.7724 10.0158 90.00 102.81 90.00
Space group Cm (No. 8)
Inequivalent atoms, fractional coordinates:
K  0.0000  0.0000  0.0000 x2
K  0.0688  0.0000  0.4847 x2
K  0.2075  0.5000  0.8354 x2
K  0.3085  0.0000  0.2454 x2
Li  0.3045  0.5000  0.5315 x2
Li  0.4011  0.0000  0.6821 x2

Main lines, in order of rising 2θ (2θ = 5–70°):
hkl 2 0 -2, 2θ = 19.79°, intensity 36
hkl 1 1 -1, 2θ = 21.09°, intensity 56
hkl 1 1 1, 2θ = 22.29°, intensity 51
hkl 2 0 2, 2θ = 24.53°, intensity 78
hkl 4 0 -1, 2θ = 25.32°, intensity 60
hkl 1 1 -2, 2θ = 25.90°, intensity 100
hkl 3 1 0, 2θ = 26.88°, intensity 89
hkl 2 0 -3, 2θ = 27.57°, intensity 40